(1)
Theoretical X-ray powder pattern
Compound: Tm3Ga7Pt2
Radiation: Cu Kα X-rays
Structure: DFT lattice parameters and positions (PBE)
Peak positions follow from Bragg's law for the DFT cell and can differ from measured ones.

Top 8 peaks for 10° ≤ 2θ ≤ 90°, in order of falling intensity:
- d = 2.580 Å, 2θ = 34.77°, I 100
- d = 2.329 Å, 2θ = 38.66°, I 90
- d = 2.589 Å, 2θ = 34.64°, I 76
- d = 2.801 Å, 2θ = 31.95°, I 66
- d = 2.103 Å, 2θ = 43.00°, I 63
- d = 2.073 Å, 2θ = 43.66°, I 60
- d = 2.935 Å, 2θ = 30.46°, I 54
- d = 1.477 Å, 2θ = 62.95°, I 40

Atomic structure:
abc: 4.2070 4.1464 13.4226
angles: 90.00 98.89 90.00
Positions (direct):
Tm (0.0000, 0.0000, 0.0000)
Tm (0.3176, 0.5000, 0.6408)
Tm (0.6824, 0.5000, 0.3592)
Ga (0.0828, 0.5000, 0.1592)
Ga (0.2257, 0.0000, 0.4511)
Ga (0.4198, 0.0000, 0.8393)
Ga (0.5000, 0.5000, 0.0000)
Ga (0.5802, 0.0000, 0.1607)
Ga (0.7743, 0.0000, 0.5489)
Ga (0.9172, 0.5000, 0.8408)
Pt (0.1324, 0.0000, 0.2663)
Pt (0.8676, 0.0000, 0.7337)


(2)
Theoretical X-ray powder pattern
Compound: In6SnHg12
Radiation: Cu Kα X-rays
Structure: DFT lattice parameters and positions (PBE)
Peak positions follow from Bragg's law for the DFT cell and can differ from measured ones.

Top 8 peaks for 10° ≤ 2θ ≤ 90°, in order of falling intensity:
- d = 2.683 Å, 2θ = 33.39°, I 100
- d = 2.503 Å, 2θ = 35.88°, I 66
- d = 2.832 Å, 2θ = 31.59°, I 44
- d = 2.617 Å, 2θ = 34.26°, I 32
- d = 3.255 Å, 2θ = 27.40°, I 21
- d = 3.520 Å, 2θ = 25.30°, I 19
- d = 2.591 Å, 2θ = 34.62°, I 18
- d = 1.466 Å, 2θ = 63.46°, I 18

Atomic structure:
abc: 8.0787 8.0787 8.0787
angles: 86.50 86.50 86.50
Positions (direct):
In (0.2049, 0.3684, 0.7427)
In (0.2573, 0.7951, 0.6316)
In (0.3684, 0.7427, 0.2049)
In (0.6316, 0.2573, 0.7951)
In (0.7427, 0.2049, 0.3684)
In (0.7951, 0.6316, 0.2573)
Sn (0.5000, 0.5000, 0.5000)
Hg (0.0276, 0.9374, 0.3046)
Hg (0.0626, 0.6954, 0.9724)
Hg (0.0946, 0.3781, 0.3742)
Hg (0.3046, 0.0276, 0.9374)
Hg (0.3742, 0.0946, 0.3781)
Hg (0.3781, 0.3742, 0.0946)
Hg (0.6219, 0.6258, 0.9054)
Hg (0.6258, 0.9054, 0.6219)
Hg (0.6954, 0.9724, 0.0626)
Hg (0.9054, 0.6219, 0.6258)
Hg (0.9374, 0.3046, 0.0276)
Hg (0.9724, 0.0626, 0.6954)


(3)
Theoretical X-ray powder pattern
Compound: In14HgPb
Radiation: Cu Kα X-rays
Structure: DFT lattice parameters and positions (PBE)
Peak positions follow from Bragg's law for the DFT cell and can differ from measured ones.

Top 8 peaks for 10° ≤ 2θ ≤ 90°, in order of falling intensity:
- d = 2.742 Å, 2θ = 32.66°, I 100
- d = 2.535 Å, 2θ = 35.41°, I 40
- d = 1.500 Å, 2θ = 61.84°, I 31
- d = 1.630 Å, 2θ = 56.45°, I 20
- d = 1.792 Å, 2θ = 50.95°, I 14
- d = 2.129 Å, 2θ = 42.47°, I 12
- d = 1.371 Å, 2θ = 68.43°, I 11
- d = 1.319 Å, 2θ = 71.50°, I 10

Atomic structure:
abc: 7.1697 7.1697 8.5145
angles: 90.00 90.00 90.00
Positions (direct):
In (0.0000, 0.0000, 0.0000)
In (0.0000, 0.5000, 0.0000)
In (0.0000, 0.5000, 0.5000)
In (0.2443, 0.2443, 0.2486)
In (0.2443, 0.2443, 0.7514)
In (0.2443, 0.7557, 0.2486)
In (0.2443, 0.7557, 0.7514)
In (0.5000, 0.0000, 0.0000)
In (0.5000, 0.0000, 0.5000)
In (0.5000, 0.5000, 0.0000)
In (0.7557, 0.2443, 0.2486)
In (0.7557, 0.2443, 0.7514)
In (0.7557, 0.7557, 0.2486)
In (0.7557, 0.7557, 0.7514)
Hg (0.0000, 0.0000, 0.5000)
Pb (0.5000, 0.5000, 0.5000)


(4)
Theoretical X-ray powder pattern
Compound: RbPa4S8
Radiation: Cu Kα X-rays
Structure: DFT lattice parameters and positions (PBE)
Peak positions follow from Bragg's law for the DFT cell and can differ from measured ones.

Top 8 peaks for 10° ≤ 2θ ≤ 90°, in order of falling intensity:
- d = 3.557 Å, 2θ = 25.03°, I 100
- d = 3.202 Å, 2θ = 27.87°, I 43
- d = 3.956 Å, 2θ = 22.47°, I 35
- d = 3.885 Å, 2θ = 22.89°, I 32
- d = 3.427 Å, 2θ = 26.00°, I 28
- d = 7.876 Å, 2θ = 11.23°, I 28
- d = 2.431 Å, 2θ = 36.98°, I 28
- d = 5.764 Å, 2θ = 15.37°, I 27

Atomic structure:
abc: 8.2558 8.2558 11.8802
angles: 121.06 121.06 29.72
Positions (direct):
Rb (0.0000, 0.0000, 0.0000)
Pa (0.1570, 0.1570, 0.8110)
Pa (0.3695, 0.3695, 0.5403)
Pa (0.6291, 0.6291, 0.4591)
Pa (0.8421, 0.8421, 0.1878)
S (0.0460, 0.0460, 0.2887)
S (0.2416, 0.2416, 0.6351)
S (0.3450, 0.3450, 0.0287)
S (0.4192, 0.4192, 0.3531)
S (0.5791, 0.5791, 0.6458)
S (0.6542, 0.6542, 0.9702)
S (0.7572, 0.7572, 0.3644)
S (0.9529, 0.9529, 0.7107)


(5)
Theoretical X-ray powder pattern
Compound: Rb2Cd6AgAu
Radiation: Cu Kα X-rays
Structure: DFT lattice parameters and positions (PBE)
Peak positions follow from Bragg's law for the DFT cell and can differ from measured ones.

Top 8 peaks for 10° ≤ 2θ ≤ 90°, in order of falling intensity:
- d = 2.726 Å, 2θ = 32.85°, I 100
- d = 5.452 Å, 2θ = 16.26°, I 53
- d = 1.927 Å, 2θ = 47.17°, I 47
- d = 2.436 Å, 2θ = 36.89°, I 24
- d = 3.155 Å, 2θ = 28.28°, I 22
- d = 3.140 Å, 2θ = 28.42°, I 22
- d = 3.852 Å, 2θ = 23.09°, I 19
- d = 1.217 Å, 2θ = 78.59°, I 15

Atomic structure:
abc: 7.7070 7.7070 7.7070
angles: 120.15 119.67 90.15
Positions (direct):
Rb (0.2501, 0.2501, 0.0000)
Rb (0.7499, 0.7499, 0.0000)
Cd (0.2497, 0.2495, 0.4992)
Cd (0.2501, 0.7501, 0.5000)
Cd (0.2497, 0.7505, 0.0002)
Cd (0.7503, 0.2495, 0.9998)
Cd (0.7499, 0.2499, 0.5000)
Cd (0.7503, 0.7505, 0.5008)
Ag (0.5000, 0.0000, 0.5000)
Au (0.0000, 0.5000, 0.5000)


(6)
Theoretical X-ray powder pattern
Compound: Ac2Ga6Tc
Radiation: Cu Kα X-rays
Structure: DFT lattice parameters and positions (PBE)
Peak positions follow from Bragg's law for the DFT cell and can differ from measured ones.

Top 8 peaks for 10° ≤ 2θ ≤ 90°, in order of falling intensity:
- d = 2.465 Å, 2θ = 36.46°, I 100
- d = 2.558 Å, 2θ = 35.08°, I 41
- d = 3.969 Å, 2θ = 22.40°, I 38
- d = 2.764 Å, 2θ = 32.39°, I 33
- d = 3.145 Å, 2θ = 28.38°, I 30
- d = 1.678 Å, 2θ = 54.70°, I 25
- d = 1.572 Å, 2θ = 58.72°, I 24
- d = 1.984 Å, 2θ = 45.72°, I 16

Atomic structure:
abc: 6.2890 6.2890 5.7946
angles: 90.00 90.00 120.00
Positions (direct):
Ac (0.3333, 0.6667, 0.3165)
Ac (0.6667, 0.3333, 0.6835)
Ga (0.1652, 0.3304, 0.8206)
Ga (0.1652, 0.8348, 0.8206)
Ga (0.3304, 0.1652, 0.1794)
Ga (0.6696, 0.8348, 0.8206)
Ga (0.8348, 0.1652, 0.1794)
Ga (0.8348, 0.6696, 0.1794)
Tc (0.0000, 0.0000, 0.5000)


(7)
Theoretical X-ray powder pattern
Compound: KPr2CuO5
Radiation: Cu Kα X-rays
Structure: DFT lattice parameters and positions (PBE)
Peak positions follow from Bragg's law for the DFT cell and can differ from measured ones.

Top 8 peaks for 10° ≤ 2θ ≤ 90°, in order of falling intensity:
- d = 2.936 Å, 2θ = 30.45°, I 100
- d = 2.698 Å, 2θ = 33.20°, I 91
- d = 2.088 Å, 2θ = 43.34°, I 63
- d = 5.708 Å, 2θ = 15.52°, I 60
- d = 2.854 Å, 2θ = 31.34°, I 38
- d = 3.062 Å, 2θ = 29.17°, I 35
- d = 1.662 Å, 2θ = 55.28°, I 34
- d = 1.615 Å, 2θ = 57.02°, I 29

Atomic structure:
abc: 6.8466 6.8466 5.7080
angles: 90.00 90.00 90.00
Positions (direct):
K (0.0000, 0.0000, 0.0000)
K (0.5000, 0.5000, 0.0000)
Pr (0.1782, 0.3218, 0.5000)
Pr (0.3218, 0.8218, 0.5000)
Pr (0.6782, 0.1782, 0.5000)
Pr (0.8218, 0.6782, 0.5000)
Cu (0.0000, 0.5000, 0.0000)
Cu (0.5000, 0.0000, 0.0000)
O (0.0000, 0.0000, 0.5000)
O (0.1288, 0.6288, 0.2399)
O (0.1288, 0.6288, 0.7601)
O (0.3712, 0.1288, 0.2399)
O (0.3712, 0.1288, 0.7601)
O (0.5000, 0.5000, 0.5000)
O (0.6288, 0.8712, 0.2399)
O (0.6288, 0.8712, 0.7601)
O (0.8712, 0.3712, 0.2399)
O (0.8712, 0.3712, 0.7601)


(8)
Theoretical X-ray powder pattern
Compound: CaLa4Ag5
Radiation: Cu Kα X-rays
Structure: DFT lattice parameters and positions (PBE)
Peak positions follow from Bragg's law for the DFT cell and can differ from measured ones.

Top 8 peaks for 10° ≤ 2θ ≤ 90°, in order of falling intensity:
- d = 2.701 Å, 2θ = 33.16°, I 100
- d = 2.666 Å, 2θ = 33.61°, I 49
- d = 1.546 Å, 2θ = 59.82°, I 35
- d = 1.566 Å, 2θ = 58.96°, I 18
- d = 1.885 Å, 2θ = 48.27°, I 17
- d = 1.351 Å, 2θ = 69.61°, I 11
- d = 1.936 Å, 2θ = 46.94°, I 9
- d = 1.221 Å, 2θ = 78.31°, I 7

Atomic structure:
abc: 3.7708 3.7708 19.3573
angles: 90.00 90.00 90.00
Positions (direct):
Ca (0.0000, 0.0000, 0.0000)
La (0.0000, 0.0000, 0.1960)
La (0.0000, 0.0000, 0.3991)
La (0.0000, 0.0000, 0.6009)
La (0.0000, 0.0000, 0.8040)
Ag (0.5000, 0.5000, 0.0969)
Ag (0.5000, 0.5000, 0.2972)
Ag (0.5000, 0.5000, 0.5000)
Ag (0.5000, 0.5000, 0.7028)
Ag (0.5000, 0.5000, 0.9031)


(9)
Theoretical X-ray powder pattern
Compound: Pu2Sn5
Radiation: Cu Kα X-rays
Structure: DFT lattice parameters and positions (PBE)
Peak positions follow from Bragg's law for the DFT cell and can differ from measured ones.

Top 8 peaks for 10° ≤ 2θ ≤ 90°, in order of falling intensity:
- d = 2.654 Å, 2θ = 33.77°, I 100
- d = 2.331 Å, 2θ = 38.62°, I 28
- d = 2.582 Å, 2θ = 34.74°, I 24
- d = 2.733 Å, 2θ = 32.77°, I 21
- d = 4.899 Å, 2θ = 18.11°, I 20
- d = 2.446 Å, 2θ = 36.74°, I 19
- d = 5.477 Å, 2θ = 16.18°, I 16
- d = 1.355 Å, 2θ = 69.33°, I 15

Atomic structure:
abc: 10.9546 10.9546 3.1518
angles: 90.00 90.00 90.00
Positions (direct):
Pu (0.1826, 0.3174, 0.0000)
Pu (0.3174, 0.8174, 0.0000)
Pu (0.6826, 0.1826, 0.0000)
Pu (0.8174, 0.6826, 0.0000)
Sn (0.0000, 0.5000, 0.5000)
Sn (0.0593, 0.7890, 0.5000)
Sn (0.2110, 0.0593, 0.5000)
Sn (0.2890, 0.5593, 0.5000)
Sn (0.4407, 0.2890, 0.5000)
Sn (0.5000, 0.0000, 0.5000)
Sn (0.5593, 0.7110, 0.5000)
Sn (0.7110, 0.4407, 0.5000)
Sn (0.7890, 0.9407, 0.5000)
Sn (0.9407, 0.2110, 0.5000)


(10)
Theoretical X-ray powder pattern
Compound: CsScPSe6
Radiation: Cu Kα X-rays
Structure: DFT lattice parameters and positions (PBE)
Peak positions follow from Bragg's law for the DFT cell and can differ from measured ones.

Top 8 peaks for 10° ≤ 2θ ≤ 90°, in order of falling intensity:
- d = 3.235 Å, 2θ = 27.57°, I 100
- d = 2.795 Å, 2θ = 32.02°, I 45
- d = 4.316 Å, 2θ = 20.58°, I 41
- d = 3.553 Å, 2θ = 25.06°, I 40
- d = 2.397 Å, 2θ = 37.52°, I 38
- d = 2.784 Å, 2θ = 32.15°, I 35
- d = 3.202 Å, 2θ = 27.86°, I 28
- d = 2.893 Å, 2θ = 30.90°, I 25

Atomic structure:
abc: 5.2229 5.9272 9.6721
angles: 84.55 84.94 76.57
Positions (direct):
Cs (0.0000, 0.0000, 0.0000)
Sc (0.6334, 0.5598, 0.5135)
P (0.8828, 0.9286, 0.4653)
Se (0.2759, 0.8343, 0.3425)
Se (0.2874, 0.4825, 0.7358)
Se (0.5838, 0.7190, 0.7657)
Se (0.6174, 0.2190, 0.3222)
Se (0.9153, 0.4813, 0.2737)
Se (0.9178, 0.1522, 0.6361)


(11)
Theoretical X-ray powder pattern
Compound: Sr2Mg5In5
Radiation: Cu Kα X-rays
Structure: DFT lattice parameters and positions (PBE)
Peak positions follow from Bragg's law for the DFT cell and can differ from measured ones.

Top 8 peaks for 10° ≤ 2θ ≤ 90°, in order of falling intensity:
- d = 2.653 Å, 2θ = 33.79°, I 100
- d = 3.169 Å, 2θ = 28.16°, I 32
- d = 3.129 Å, 2θ = 28.53°, I 30
- d = 4.852 Å, 2θ = 18.29°, I 29
- d = 2.629 Å, 2θ = 34.10°, I 29
- d = 1.699 Å, 2θ = 53.97°, I 26
- d = 2.426 Å, 2θ = 37.06°, I 25
- d = 5.442 Å, 2θ = 16.29°, I 17

Atomic structure:
abc: 4.8518 6.2571 11.0241
angles: 90.00 90.00 90.00
Positions (direct):
Sr (0.0000, 0.0000, 0.0000)
Sr (0.0000, 0.5000, 0.5000)
Mg (0.5000, 0.0000, 0.5000)
Mg (0.5000, 0.2485, 0.2502)
Mg (0.5000, 0.2485, 0.7498)
Mg (0.5000, 0.7515, 0.2502)
Mg (0.5000, 0.7515, 0.7498)
In (0.0000, 0.0000, 0.3327)
In (0.0000, 0.0000, 0.6673)
In (0.0000, 0.5000, 0.1792)
In (0.0000, 0.5000, 0.8208)
In (0.5000, 0.5000, 0.0000)


(12)
Theoretical X-ray powder pattern
Compound: Na2H5N
Radiation: Cu Kα X-rays
Structure: DFT lattice parameters and positions (PBE)
Peak positions follow from Bragg's law for the DFT cell and can differ from measured ones.

Top 8 peaks for 10° ≤ 2θ ≤ 90°, in order of falling intensity:
- d = 3.371 Å, 2θ = 26.44°, I 100
- d = 2.738 Å, 2θ = 32.71°, I 92
- d = 2.896 Å, 2θ = 30.88°, I 92
- d = 2.644 Å, 2θ = 33.91°, I 83
- d = 2.875 Å, 2θ = 31.11°, I 75
- d = 5.565 Å, 2θ = 15.93°, I 51
- d = 2.452 Å, 2θ = 36.66°, I 48
- d = 2.246 Å, 2θ = 40.14°, I 45

Atomic structure:
abc: 3.9076 4.5059 5.8526
angles: 85.72 72.50 89.79
Positions (direct):
Na (0.0000, 0.0000, 0.0000)
Na (0.3952, 0.4759, 0.2415)
H (0.0274, 0.5025, 0.9496)
H (0.4087, 0.9855, 0.1985)
H (0.4375, 0.5647, 0.6947)
H (0.7191, 0.8095, 0.5072)
H (0.8537, 0.5623, 0.6849)
N (0.6933, 0.5900, 0.5723)